The following is a computed X-ray diffraction stick pattern of Nd2MnO5. It was derived from a DFT-relaxed cell (PBE+U, Alexandria), using Cu Kα (λ = 1.5418 Å).

Most intense lines, 5 to 70 degrees two-theta, most intense first:
- 2θ 28.51, I 100, (2 1 0)
- 2θ 28.69, I 74, (2 0 3)
- 2θ 32.90, I 39, (0 1 3)
- 2θ 29.57, I 32, (3 0 2)
- 2θ 47.77, I 30, (4 1 3)
- 2θ 46.97, I 28, (0 2 0)
- 2θ 11.32, I 24, (1 0 1)
- 2θ 55.98, I 22, (2 2 3)
- 2θ 24.68, I 21, (1 0 3)
- 2θ 54.08, I 17, (1 1 6)

Structural model:
a = 10.656 Å, b = 3.868 Å, c = 11.498 Å
α = 90.00°, β = 90.00°, γ = 90.00°
Space group Pnma (No. 62)
Inequivalent atoms, fractional coordinates:
Nd  0.094  0.250  0.221 x4
Nd  0.138  0.250  0.563 x4
Mn  0.196  0.250  0.876 x4
O  0.012  0.750  0.599 x4
O  0.040  0.250  0.817 x4
O  0.214  0.250  0.036 x4
O  0.223  0.750  0.229 x4
O  0.240  0.750  0.880 x4